Theoretical powder X-ray diffraction pattern of Be4NbMo for copper Kα, from the PBE geometry in the Materials Project.
Peak positions follow from Bragg's law for the DFT cell and can differ from measured ones.

Top 10 peaks for 5° ≤ 2θ ≤ 70°, in order of rising 2θ:
| hkl | two_theta | I_rel |
| --- | --- | --- |
| 1 0 0 | 22.59 | 81 |
| 0 0 2 | 24.01 | 43 |
| 0 1 1 | 25.63 | 59 |
| 1 0 2 | 33.20 | 31 |
| 1 1 0 | 39.67 | 90 |
| 0 1 3 | 43.23 | 100 |
| 1 1 2 | 46.90 | 60 |
| 2 0 1 | 47.83 | 19 |
| 2 0 3 | 60.11 | 28 |
| 0 1 5 | 67.50 | 19 |

Structure:
```
data_Be4NbMo
_cell_length_a 4.5440
_cell_length_b 4.5440
_cell_length_c 7.4140
_cell_angle_alpha 90.00
_cell_angle_beta 90.00
_cell_angle_gamma 120.00
_symmetry_space_group_name_H-M 'P -3 m 1'
_symmetry_Int_Tables_number 164
_symmetry_space_group_name_Hall '-P 3 2"'
loop_
_atom_site_label
_atom_site_fract_x
_atom_site_fract_y
_atom_site_fract_z
Be1 0.0000 0.0000 0.0000
Be2 0.0000 0.0000 0.5000
Be3 0.1706 0.3413 0.2442
Nb1 0.3333 0.6667 0.5704
Mo1 0.3333 0.6667 0.9392
```